No. 1
# Pr2MoC2
Calculated XRD peak list, CuKα. Input: the PBE geometry in the Materials Project.
Kinematic intensities with the Lorentz-polarization factor, no thermal factor.

Top 12 peaks for 2θ = 10–90°, by intensity:
2θ = 33.49°, I = 1000, hkl 1 1 3; 2θ = 34.19°, I = 516, hkl 2 1 0; 2θ = 30.49°, I = 406, hkl 2 0 0; 2θ = 53.70°, I = 273, hkl 3 0 3; 2θ = 29.71°, I = 199, hkl 1 0 3; 2θ = 63.02°, I = 165, hkl 3 2 3; 2θ = 65.65°, I = 155, hkl 4 1 0; 2θ = 63.91°, I = 138, hkl 2 1 6; 2θ = 88.58°, I = 135, hkl 4 1 6; 2θ = 43.66°, I = 119, hkl 2 2 0; 2θ = 56.12°, I = 108, hkl 3 1 3; 2θ = 43.09°, I = 104, hkl 2 1 3

Atomic structure:
```
Pr2MoC2
1.0
5.863 0.000 0.000
0.000 5.863 0.000
0.000 0.000 10.510
Pr Mo C
8 4 8
direct
0.197 0.197 0.155
0.197 0.197 0.845
0.303 0.697 0.345
0.303 0.697 0.655
0.697 0.303 0.345
0.697 0.303 0.655
0.803 0.803 0.155
0.803 0.803 0.845
0.175 0.175 0.500
0.325 0.675 0.000
0.675 0.325 0.000
0.825 0.825 0.500
0.000 0.000 0.358
0.000 0.000 0.642
0.000 0.500 0.000
0.000 0.500 0.500
0.500 0.000 0.000
0.500 0.000 0.500
0.500 0.500 0.142
0.500 0.500 0.858
```



No. 2
# LiSm4Tm4O12
Calculated XRD peak list, CuKα. Input: the PBE geometry in the Materials Project.
Kinematic intensities with the Lorentz-polarization factor, no thermal factor.

Top 12 peaks for 2θ = 10–90°, by intensity:
2θ = 30.58°, I = 1000, hkl 1 1 -2; 2θ = 29.93°, I = 536, hkl 1 -1 2; 2θ = 29.31°, I = 514, hkl 1 1 2; 2θ = 31.13°, I = 480, hkl 2 0 0; 2θ = 29.51°, I = 467, hkl 0 2 0; 2θ = 42.78°, I = 225, hkl 0 0 4; 2θ = 43.91°, I = 200, hkl 2 -2 0; 2θ = 42.91°, I = 198, hkl 2 2 0; 2θ = 53.14°, I = 160, hkl 0 2 -4; 2θ = 52.97°, I = 152, hkl 1 3 -2; 2θ = 55.39°, I = 127, hkl 3 1 -2; 2θ = 54.27°, I = 118, hkl 3 -1 2

Atomic structure:
```
LiSm4Tm4O12
1.0
5.753 0.000 0.000
0.138 6.055 0.000
0.365 0.105 8.456
Li Sm Tm O
1 4 4 12
direct
0.000 0.000 0.000
0.110 0.045 0.679
0.136 0.178 0.245
0.623 0.677 0.179
0.659 0.569 0.705
0.143 0.619 0.446
0.148 0.577 0.942
0.587 0.132 0.945
0.636 0.121 0.447
0.003 0.554 0.198
0.275 0.673 0.692
0.306 0.913 0.034
0.330 0.932 0.398
0.452 0.426 0.357
0.493 0.182 0.695
0.516 0.484 0.964
0.769 0.046 0.181
0.840 0.826 0.527
0.846 0.813 0.876
0.948 0.315 0.512
0.957 0.277 0.875
```



No. 3
# YMg14Sb
Calculated XRD peak list, CuKα. Input: the PBE geometry in the Materials Project.
Kinematic intensities with the Lorentz-polarization factor, no thermal factor.

Top 12 peaks for 2θ = 10–90°, by intensity:
2θ = 36.32°, I = 1000, hkl 2 0 2; 2θ = 15.79°, I = 396, hkl 1 0 0; 2θ = 23.24°, I = 327, hkl 1 0 2; 2θ = 31.89°, I = 287, hkl 2 0 0; 2θ = 34.27°, I = 255, hkl 0 0 4; 2θ = 68.06°, I = 192, hkl 2 2 4; 2θ = 62.71°, I = 191, hkl 2 0 6; 2θ = 47.51°, I = 183, hkl 2 0 4; 2θ = 56.82°, I = 170, hkl 2 2 0; 2θ = 69.34°, I = 139, hkl 4 0 2; 2θ = 32.50°, I = 138, hkl 1 1 2; 2θ = 16.94°, I = 114, hkl 0 0 2

Atomic structure:
```
YMg14Sb
1.0
6.481 0.000 0.000
-3.240 5.613 0.000
0.000 0.000 10.467
Y Mg Sb
1 14 1
direct
0.000 0.000 0.000
0.007 0.503 0.000
0.167 0.334 0.252
0.167 0.334 0.748
0.167 0.833 0.252
0.167 0.833 0.748
0.497 0.503 0.000
0.497 0.993 0.000
0.502 0.004 0.500
0.502 0.498 0.500
0.666 0.833 0.252
0.666 0.833 0.748
0.667 0.333 0.245
0.667 0.333 0.755
0.996 0.498 0.500
0.000 0.000 0.500
```



No. 4
# RbNdNb2O7
Calculated XRD peak list, CuKα. Input: the PBE geometry in the Materials Project.
Kinematic intensities with the Lorentz-polarization factor, no thermal factor.

Top 12 peaks for 2θ = 10–90°, by intensity:
2θ = 27.62°, I = 1000, hkl 1 0 2; 2θ = 32.26°, I = 388, hkl 1 1 0; 2θ = 54.74°, I = 292, hkl 2 1 2; 2θ = 46.27°, I = 238, hkl 2 0 0; 2θ = 45.69°, I = 176, hkl 1 1 4; 2θ = 32.85°, I = 123, hkl 1 0 3; 2θ = 39.13°, I = 96, hkl 1 0 4; 2θ = 51.99°, I = 78, hkl 1 1 5; 2θ = 67.52°, I = 70, hkl 2 2 0; 2θ = 88.52°, I = 69, hkl 2 1 8; 2θ = 68.88°, I = 69, hkl 2 0 6; 2θ = 31.47°, I = 67, hkl 0 0 4

Atomic structure:
```
RbNdNb2O7
1.0
3.924 0.000 0.000
0.000 3.924 0.000
0.000 0.000 11.373
Rb Nd Nb O
1 1 2 7
direct
0.000 0.000 0.000
0.000 0.000 0.500
0.500 0.500 0.300
0.500 0.500 0.700
0.000 0.500 0.340
0.000 0.500 0.660
0.500 0.000 0.340
0.500 0.000 0.660
0.500 0.500 0.141
0.500 0.500 0.500
0.500 0.500 0.859
```



No. 5
# Zr2CoH5
Calculated XRD peak list, CuKα. Input: the PBE geometry in the Materials Project.
Kinematic intensities with the Lorentz-polarization factor, no thermal factor.

Top 12 peaks for 2θ = 10–90°, by intensity:
2θ = 32.90°, I = 1000, hkl 2 1 1; 2θ = 41.18°, I = 330, hkl 3 1 0; 2θ = 41.04°, I = 281, hkl 2 0 2; 2θ = 36.51°, I = 241, hkl 1 1 2; 2θ = 56.90°, I = 205, hkl 2 1 3; 2θ = 65.93°, I = 187, hkl 3 3 2; 2θ = 57.13°, I = 158, hkl 4 1 1; 2θ = 62.78°, I = 112, hkl 4 0 2; 2θ = 75.77°, I = 102, hkl 5 2 1; 2θ = 31.44°, I = 100, hkl 0 0 2; 2θ = 36.67°, I = 89, hkl 2 2 0; 2θ = 80.47°, I = 85, hkl 3 1 4

Atomic structure:
```
Zr2CoH5
1.0
6.931 0.000 0.000
0.000 6.931 0.000
0.000 0.000 5.692
Zr Co H
8 4 20
direct
0.089 0.589 0.250
0.089 0.911 0.750
0.411 0.589 0.750
0.411 0.911 0.250
0.589 0.089 0.750
0.589 0.411 0.250
0.911 0.089 0.250
0.911 0.411 0.750
0.250 0.250 0.010
0.250 0.250 0.510
0.750 0.750 0.490
0.750 0.750 0.990
0.036 0.166 0.572
0.036 0.334 0.072
0.166 0.036 0.072
0.166 0.464 0.572
0.250 0.750 0.000
0.250 0.750 0.500
0.334 0.036 0.572
0.334 0.464 0.072
0.464 0.166 0.072
0.464 0.334 0.572
0.536 0.666 0.428
0.536 0.834 0.928
0.666 0.536 0.928
0.666 0.964 0.428
0.750 0.250 0.000
0.750 0.250 0.500
0.834 0.536 0.428
0.834 0.964 0.928
0.964 0.666 0.928
0.964 0.834 0.428
```